Record 1
Starting from a PBE+U-relaxed structure, the powder diffractogram of Li5Mn6B6O18 was simulated for Cu Ka.
Intensities are scaled so that the largest is 100.

The 6 most intense peaks (2θ from 10° to 80°), low angle first:
- (1 0 1), 2θ = 21.34°, I 46
- (2 0 -1), 2θ = 21.56°, I 100
- (1 2 1), 2θ = 35.47°, I 34
- (2 2 -1), 2θ = 35.61°, I 74
- (3 0 0), 2θ = 37.54°, I 27
- (4 2 -2), 2θ = 52.92°, I 26

Atomic structure:
```
35
Lattice="8.234 0.000 0.000 0.000 6.374 0.000 -4.039 0.000 7.195" Properties=species:S:1:pos:R:3 pbc="T T T"
Li 0.000 0.000 0.000
Li -0.008 3.187 0.034
Li 0.705 0.000 4.932
Li 4.533 3.187 1.906
Li 4.552 0.000 1.918
Mn -0.911 1.608 2.626
Mn -0.911 4.766 2.626
Mn -1.145 1.613 6.916
Mn -1.145 4.760 6.916
Mn 3.256 1.606 4.471
Mn 3.256 4.767 4.471
B -2.426 3.187 4.680
B -2.357 0.000 4.667
B 1.734 3.187 2.203
B 1.760 0.000 2.240
B 1.821 1.555 7.130
B 1.821 4.819 7.130
O -1.309 3.187 5.478
O -1.206 0.000 5.457
O 0.442 3.187 2.701
O 0.510 0.000 2.867
O 1.858 0.000 0.859
O 1.899 3.187 0.825
O 2.839 3.187 3.037
O 2.896 0.000 3.041
O 1.690 1.465 5.767
O 1.690 4.908 5.767
O 4.717 1.587 0.745
O 4.717 4.787 0.745
O 7.124 1.589 0.535
O 7.124 4.785 0.535
O 4.527 3.187 5.236
O 4.618 0.000 5.232
O 5.965 3.187 3.284
O 6.031 0.000 3.271
```



Record 2
Starting from a PBE+U-relaxed structure, the powder diffractogram of LiMn2B2O6 was simulated for Cu Ka.
Intensities are scaled so that the largest is 100.

The 6 most intense peaks (2θ from 10° to 80°), low angle first:
- (1 1 1), 2θ = 19.24°, I 47
- (0 2 1), 2θ = 19.53°, I 94
- (1 -1 1), 2θ = 21.30°, I 78
- (1 1 2), 2θ = 21.39°, I 48
- (1 3 2), 2θ = 33.91°, I 40
- (0 0 4), 2θ = 34.97°, I 100

Atomic structure:
```
44
Lattice="5.358 0.000 0.000 0.059 9.091 0.000 2.338 4.359 10.264" Properties=species:S:1:pos:R:3 pbc="T T T"
Li 0.000 0.000 0.000
Li 1.133 4.693 2.738
Li 3.775 8.844 7.628
Li 3.776 9.126 2.591
Mn 0.162 3.201 0.311
Mn 1.067 7.708 3.054
Mn 2.700 10.413 5.424
Mn 3.558 5.761 8.058
Mn 2.783 7.476 0.413
Mn 3.765 2.954 2.920
Mn 5.311 6.157 5.567
Mn 6.360 10.784 8.007
B 0.187 6.284 0.460
B 0.958 1.591 2.900
B 2.773 7.316 5.601
B 3.492 11.877 8.139
B 2.836 1.531 0.487
B 3.710 6.047 3.018
B 5.352 3.017 5.479
B 6.255 7.616 8.000
O 2.216 7.412 8.463
O 1.484 7.259 5.081
O 0.707 5.093 0.799
O 0.779 7.487 0.889
O 2.690 3.905 8.317
O 2.946 10.683 7.618
O 3.892 5.977 10.190
O 2.328 1.499 3.257
O 3.373 6.096 5.970
O 3.425 8.498 5.700
O 3.068 4.859 2.942
O 3.130 7.235 2.525
O 4.813 11.833 8.562
O 4.139 2.681 4.821
O 3.478 2.704 0.961
O 3.490 0.333 0.596
O 5.657 8.823 8.035
O 5.534 6.487 7.512
O 5.014 6.170 3.562
O 6.713 10.783 9.969
O 5.863 4.236 5.521
O 6.084 11.006 6.076
O 5.598 9.581 2.939
O 5.793 2.840 2.534
```



Record 3
Starting from a PBE+U-relaxed structure, the powder diffractogram of Li2Mn3B3O9 was simulated for Cu Ka.
Intensities are scaled so that the largest is 100.

The 6 most intense peaks (2θ from 10° to 80°), low angle first:
- (1 1 -1), 2θ = 20.11°, I 99
- (1 0 -2), 2θ = 22.11°, I 42
- (1 0 1), 2θ = 22.49°, I 67
- (1 2 0), 2θ = 33.93°, I 31
- (2 -2 0), 2θ = 34.09°, I 100
- (0 2 2), 2θ = 40.90°, I 32

Atomic structure:
```
34
Lattice="6.212 0.000 0.000 -1.393 7.692 0.000 -2.595 -3.570 7.890" Properties=species:S:1:pos:R:3 pbc="T T T"
Li 0.432 2.295 0.411
Li -1.884 5.439 4.890
Li 4.108 -1.317 3.000
Li 1.792 1.827 7.479
Mn -0.695 1.652 3.217
Mn -0.653 6.592 2.188
Mn 1.648 5.275 0.321
Mn 0.575 -1.153 7.569
Mn 2.876 -2.469 5.702
Mn 2.918 2.470 4.673
B -1.720 0.124 5.662
B -2.526 3.986 7.371
B 0.959 3.995 2.930
B 1.264 0.128 4.960
B 4.750 0.136 0.518
B 3.943 3.998 2.228
O -1.913 5.091 2.961
O -2.775 4.056 6.002
O -1.642 1.391 4.996
O -0.196 6.344 0.145
O -1.333 0.064 6.986
O 0.340 3.003 2.205
O 1.857 0.945 0.217
O 0.789 0.402 3.670
O 1.138 5.274 2.420
O 1.085 -1.151 5.470
O 1.434 3.721 4.219
O 0.367 3.177 7.673
O 1.883 1.119 5.685
O 3.557 4.059 0.903
O 2.419 -2.221 7.745
O 3.865 2.732 2.894
O 4.999 0.066 1.888
O 4.136 -0.969 4.929
```